Theoretical powder X-ray diffraction pattern
Compound: BaCaCeHfO6
Radiation: a wavelength of 1.5418 Å
Structure: a cell relaxed with PBE
Kinematic intensities with the Lorentz-polarization factor, no thermal factor.

```
data_BaCaCeHfO6
_chemical_formula_sum 'Ba4 Ca4 Ce4 Hf4 O24'
_cell_length_a 8.4692
_cell_length_b 8.4842
_cell_length_c 8.5026
_cell_angle_alpha 90.00
_cell_angle_beta 90.00
_cell_angle_gamma 90.00
_symmetry_space_group_name_H-M 'P 2 2 2'
_symmetry_Int_Tables_number 16
loop_
_symmetry_equiv_pos_as_xyz
'x,y,z'
'-x,-y,z'
'x,-y,-z'
'-x,y,-z'
loop_
_atom_site_label
_atom_site_type_symbol
_atom_site_fract_x
_atom_site_fract_y
_atom_site_fract_z
Ba1 Ba 0.0000 0.0000 0.0000
Ba2 Ba 0.0000 0.0000 0.5000
Ba3 Ba 0.0000 0.5000 0.0000
Ba4 Ba 0.5000 0.5000 0.5000
Ca1 Ca 0.0000 0.5000 0.5000
Ca2 Ca 0.5000 0.0000 0.0000
Ca3 Ca 0.5000 0.0000 0.5000
Ca4 Ca 0.5000 0.5000 0.0000
Ce1 Ce 0.2560 0.2512 0.2515
Hf1 Hf 0.2567 0.2500 0.7487
O1 O 0.0107 0.2720 0.7837
O2 O 0.2095 0.3063 0.5101
O3 O 0.2263 0.0074 0.7172
O4 O 0.3004 0.2055 0.9904
O5 O 0.3023 0.4892 0.7982
O6 O 0.4919 0.2107 0.6879
```

Largest 6 diffraction maxima, by intensity, 10° ≤ 2θ ≤ 80°:
2θ 29.78, 3.000 Å, rel. 100; 2θ 52.83, 1.733 Å, rel. 30; 2θ 42.58, 2.123 Å, rel. 18; 2θ 20.94, 4.243 Å, rel. 16; 2θ 52.91, 1.730 Å, rel. 15; 2θ 61.82, 1.501 Å, rel. 11

***

Theoretical powder X-ray diffraction pattern
Compound: CeGe3Pt5
Radiation: a wavelength of 1.5418 Å
Structure: a cell relaxed with PBE
Kinematic intensities with the Lorentz-polarization factor, no thermal factor.

```
data_CeGe3Pt5
_chemical_formula_sum 'Ce4 Ge12 Pt20'
_cell_length_a 20.5055
_cell_length_b 4.2272
_cell_length_c 7.3381
_cell_angle_alpha 90.00
_cell_angle_beta 90.00
_cell_angle_gamma 90.00
_symmetry_space_group_name_H-M 'P n m a'
_symmetry_Int_Tables_number 62
loop_
_symmetry_equiv_pos_as_xyz
'x,y,z'
'-x,-y,-z'
'-x+1/2,-y,z+1/2'
'x+1/2,y,-z+1/2'
'x+1/2,-y+1/2,-z+1/2'
'-x+1/2,y+1/2,z+1/2'
'-x,y+1/2,-z'
'x,-y+1/2,z'
loop_
_atom_site_label
_atom_site_type_symbol
_atom_site_fract_x
_atom_site_fract_y
_atom_site_fract_z
Ce1 Ce 0.1461 0.2500 0.1222
Ge1 Ge 0.0761 0.7500 0.8430
Ge2 Ge 0.0857 0.7500 0.4097
Ge3 Ge 0.2364 0.2500 0.6158
Pt1 Pt 0.0122 0.7500 0.1246
Pt2 Pt 0.0190 0.2500 0.3801
Pt3 Pt 0.1160 0.2500 0.6743
Pt4 Pt 0.2006 0.7500 0.8212
Pt5 Pt 0.2044 0.7500 0.4154
```

Largest 6 diffraction maxima, by intensity, 10° ≤ 2θ ≤ 80°:
2θ 34.94, 2.568 Å, rel. 100; 2θ 42.78, 2.114 Å, rel. 37; 2θ 33.72, 2.658 Å, rel. 26; 2θ 45.04, 2.013 Å, rel. 20; 2θ 46.95, 1.935 Å, rel. 15; 2θ 32.77, 2.733 Å, rel. 14

***

Theoretical powder X-ray diffraction pattern
Compound: SrSO4
Radiation: a wavelength of 1.5418 Å
Structure: a cell relaxed with PBE
Kinematic intensities with the Lorentz-polarization factor, no thermal factor.

```
data_SrSO4
_chemical_formula_sum 'Sr4 S4 O16'
_cell_length_a 8.4533
_cell_length_b 5.4562
_cell_length_c 6.9668
_cell_angle_alpha 90.00
_cell_angle_beta 90.00
_cell_angle_gamma 90.00
_symmetry_space_group_name_H-M 'P n m a'
_symmetry_Int_Tables_number 62
loop_
_symmetry_equiv_pos_as_xyz
'x,y,z'
'-x,-y,-z'
'-x+1/2,-y,z+1/2'
'x+1/2,y,-z+1/2'
'x+1/2,-y+1/2,-z+1/2'
'-x+1/2,y+1/2,z+1/2'
'-x,y+1/2,-z'
'x,-y+1/2,z'
loop_
_atom_site_label
_atom_site_type_symbol
_atom_site_fract_x
_atom_site_fract_y
_atom_site_fract_z
Sr1 Sr 0.1847 0.2500 0.1571
S1 S 0.0610 0.2500 0.6830
O1 O 0.0769 0.0272 0.8088
O2 O 0.0960 0.7500 0.4084
O3 O 0.1919 0.2500 0.5404
```

Largest 6 diffraction maxima, by intensity, 10° ≤ 2θ ≤ 80°:
2θ 29.65, 3.013 Å, rel. 100; 2θ 26.68, 3.341 Å, rel. 90; 2θ 32.28, 2.774 Å, rel. 64; 2θ 27.70, 3.221 Å, rel. 54; 2θ 32.83, 2.728 Å, rel. 51; 2θ 43.47, 2.082 Å, rel. 50

***

Theoretical powder X-ray diffraction pattern
Compound: Zr2Al3C4
Radiation: a wavelength of 1.5418 Å
Structure: a cell relaxed with PBE
Kinematic intensities with the Lorentz-polarization factor, no thermal factor.

```
data_Zr2Al3C4
_chemical_formula_sum 'Zr4 Al6 C8'
_cell_length_a 3.3629
_cell_length_b 3.3629
_cell_length_c 22.3205
_cell_angle_alpha 90.00
_cell_angle_beta 90.00
_cell_angle_gamma 120.00
_symmetry_space_group_name_H-M 'P 63/m m c'
_symmetry_Int_Tables_number 194
_symmetry_space_group_name_Hall '-P 6c 2c'
loop_
_atom_site_label
_atom_site_type_symbol
_atom_site_fract_x
_atom_site_fract_y
_atom_site_fract_z
Zr1 Zr 0.3333 0.6667 0.0587
Al1 Al 0.0000 0.0000 0.1596
Al2 Al 0.3333 0.6667 0.7500
C1 C 0.0000 0.0000 0.0000
C2 C 0.0000 0.0000 0.2500
C3 C 0.3333 0.6667 0.6291
```

Largest 6 diffraction maxima, by intensity, 10° ≤ 2θ ≤ 80°:
2θ 33.03, 2.712 Å, rel. 100; 2θ 36.85, 2.439 Å, rel. 65; 2θ 54.58, 1.681 Å, rel. 43; 2θ 39.29, 2.293 Å, rel. 36; 2θ 42.02, 2.150 Å, rel. 29; 2θ 31.75, 2.818 Å, rel. 28

***

Theoretical powder X-ray diffraction pattern
Compound: Fe4P
Radiation: a wavelength of 1.5418 Å
Structure: a cell relaxed with PBE
Kinematic intensities with the Lorentz-polarization factor, no thermal factor.

```
data_Fe4P
_chemical_formula_sum 'Fe4 P1'
_cell_length_a 4.1363
_cell_length_b 4.1363
_cell_length_c 4.1363
_cell_angle_alpha 90.00
_cell_angle_beta 90.00
_cell_angle_gamma 90.00
_symmetry_space_group_name_H-M 'P m -3 m'
_symmetry_Int_Tables_number 221
_symmetry_space_group_name_Hall '-P 4 2 3'
loop_
_atom_site_label
_atom_site_type_symbol
_atom_site_fract_x
_atom_site_fract_y
_atom_site_fract_z
Fe1 Fe 0.0000 0.0000 0.0000
Fe2 Fe 0.0000 0.5000 0.5000
P1 P 0.5000 0.5000 0.5000
```

Largest 6 diffraction maxima, by intensity, 10° ≤ 2θ ≤ 80°:
2θ 37.67, 2.388 Å, rel. 100; 2θ 43.77, 2.068 Å, rel. 80; 2θ 63.63, 1.462 Å, rel. 48; 2θ 76.36, 1.247 Å, rel. 31; 2θ 21.48, 4.136 Å, rel. 8; 2θ 30.56, 2.925 Å, rel. 6

***

- Which formula does entry 5 have?
  Fe4P